Zn4Cu2Au: calculated XRD peak list (copper Kα), based on a cell relaxed with GGA-PBE.
Lines closer than 0.1° are merged.

Principal peaks in the range 2θ = 10–80°, by angle:
- 2θ = 16.58°, 5.348 Å, I 18
- 2θ = 28.94°, 3.085 Å, I 43
- 2θ = 37.55°, 2.395 Å, I 48
- 2θ = 37.67°, 2.388 Å, I 65
- 2θ = 44.88°, 2.020 Å, I 100
- 2θ = 54.17°, 1.693 Å, I 12
- 2θ = 54.33°, 1.689 Å, I 12
- 2θ = 57.16°, 1.612 Å, I 17
- 2θ = 77.75°, 1.228 Å, I 12
- 2θ = 77.98°, 1.225 Å, I 20

Structure:
abc: 6.546 6.546 6.546
angles: 109.57 109.57 109.28
Fractional coordinates of all 14 atoms:
Zn (0.103, 0.532, 0.746)
Zn (0.108, 0.036, 0.754)
Zn (0.282, 0.353, 0.246)
Zn (0.468, 0.214, 0.572)
Zn (0.642, 0.897, 0.428)
Zn (0.647, 0.892, 0.928)
Zn (0.786, 0.358, 0.254)
Zn (0.964, 0.718, 0.072)
Cu (0.011, 0.125, 0.386)
Cu (0.375, 0.989, 0.114)
Cu (0.739, 0.625, 0.614)
Cu (0.875, 0.261, 0.886)
Au (0.250, 0.750, 0.500)
Au (0.500, 0.500, 0.000)

---

Pm5Er2Bi4: calculated XRD peak list (copper Kα), based on a cell relaxed with GGA-PBE.
Lines closer than 0.1° are merged.

Principal peaks in the range 2θ = 10–80°, by angle:
- 2θ = 25.47°, 3.497 Å, I 25
- 2θ = 28.78°, 3.102 Å, I 100
- 2θ = 29.59°, 3.019 Å, I 88
- 2θ = 30.63°, 2.919 Å, I 65
- 2θ = 34.50°, 2.599 Å, I 55
- 2θ = 35.18°, 2.551 Å, I 40
- 2θ = 36.35°, 2.472 Å, I 25
- 2θ = 38.17°, 2.358 Å, I 41
- 2θ = 41.36°, 2.183 Å, I 23
- 2θ = 60.38°, 1.533 Å, I 25

Structure:
abc: 13.573 13.573 7.775
angles: 90.74 90.74 14.93
Fractional coordinates of all 11 atoms:
Pm (0.000, 0.000, 0.000)
Pm (0.357, 0.357, 0.851)
Pm (0.409, 0.409, 0.306)
Pm (0.591, 0.591, 0.694)
Pm (0.643, 0.643, 0.149)
Er (0.263, 0.263, 0.196)
Er (0.737, 0.737, 0.804)
Bi (0.179, 0.179, 0.497)
Bi (0.465, 0.465, 0.674)
Bi (0.535, 0.535, 0.326)
Bi (0.821, 0.821, 0.503)

---

Pm3Al2BOs3: calculated XRD peak list (copper Kα), based on a cell relaxed with GGA-PBE.
Lines closer than 0.1° are merged.

Principal peaks in the range 2θ = 10–80°, by angle:
- 2θ = 13.94°, 6.354 Å, I 27
- 2θ = 24.26°, 3.669 Å, I 20
- 2θ = 28.34°, 3.149 Å, I 24
- 2θ = 34.79°, 2.579 Å, I 100
- 2θ = 37.44°, 2.402 Å, I 60
- 2θ = 37.64°, 2.390 Å, I 18
- 2θ = 45.29°, 2.002 Å, I 31
- 2θ = 49.70°, 1.834 Å, I 15
- 2θ = 64.39°, 1.447 Å, I 25
- 2θ = 73.06°, 1.295 Å, I 15

Structure:
abc: 7.338 7.338 3.626
angles: 90.00 90.00 120.00
Fractional coordinates of all 9 atoms:
Pm (0.000, 0.632, 0.000)
Pm (0.368, 0.368, 0.000)
Pm (0.632, 0.000, 0.000)
Al (0.333, 0.667, 0.500)
Al (0.667, 0.333, 0.500)
B (0.000, 0.000, 0.000)
Os (0.000, 0.226, 0.500)
Os (0.226, 0.000, 0.500)
Os (0.774, 0.774, 0.500)

---

HgBi2: calculated XRD peak list (copper Kα), based on a cell relaxed with GGA-PBE.
Lines closer than 0.1° are merged.

Principal peaks in the range 2θ = 10–80°, by angle:
- 2θ = 27.45°, 3.250 Å, I 43
- 2θ = 27.62°, 3.230 Å, I 24
- 2θ = 28.52°, 3.130 Å, I 58
- 2θ = 29.49°, 3.029 Å, I 100
- 2θ = 29.74°, 3.004 Å, I 31
- 2θ = 30.69°, 2.913 Å, I 82
- 2θ = 32.79°, 2.732 Å, I 29
- 2θ = 34.92°, 2.569 Å, I 39
- 2θ = 39.00°, 2.309 Å, I 25
- 2θ = 45.67°, 1.986 Å, I 22

Structure:
abc: 3.291 6.526 9.232
angles: 86.34 80.56 89.93
Fractional coordinates of all 6 atoms:
Hg (0.000, 0.000, 0.000)
Hg (0.500, 0.500, 0.000)
Bi (0.026, 0.241, 0.670)
Bi (0.173, 0.263, 0.328)
Bi (0.831, 0.739, 0.672)
Bi (0.978, 0.762, 0.330)

---

Ag2PbClO2: calculated XRD peak list (copper Kα), based on a cell relaxed with GGA-PBE.
Lines closer than 0.1° are merged.

Principal peaks in the range 2θ = 10–80°, by angle:
- 2θ = 22.43°, 3.964 Å, I 89
- 2θ = 26.65°, 3.345 Å, I 40
- 2θ = 28.25°, 3.159 Å, I 93
- 2θ = 30.51°, 2.930 Å, I 67
- 2θ = 30.87°, 2.897 Å, I 59
- 2θ = 31.34°, 2.854 Å, I 82
- 2θ = 36.24°, 2.479 Å, I 100
- 2θ = 36.84°, 2.440 Å, I 42
- 2θ = 44.57°, 2.033 Å, I 60
- 2θ = 49.12°, 1.855 Å, I 48

Structure:
abc: 5.595 5.708 7.702
angles: 90.00 100.04 90.00
Fractional coordinates of all 12 atoms:
Ag (0.023, 0.250, 0.230)
Ag (0.314, 0.750, 0.113)
Ag (0.686, 0.250, 0.887)
Ag (0.977, 0.750, 0.770)
Pb (0.356, 0.750, 0.580)
Pb (0.644, 0.250, 0.420)
Cl (0.217, 0.250, 0.930)
Cl (0.783, 0.750, 0.070)
O (0.328, 0.502, 0.346)
O (0.328, 0.998, 0.346)
O (0.672, 0.002, 0.654)
O (0.672, 0.498, 0.654)

---

CsCrFeCl6: calculated XRD peak list (copper Kα), based on a cell relaxed with GGA-PBE.
Lines closer than 0.1° are merged.

Principal peaks in the range 2θ = 10–80°, by angle:
- 2θ = 11.29°, 7.841 Å, I 14
- 2θ = 19.71°, 4.505 Å, I 100
- 2θ = 30.35°, 2.945 Å, I 24
- 2θ = 34.54°, 2.597 Å, I 14
- 2θ = 36.39°, 2.469 Å, I 56
- 2θ = 38.12°, 2.361 Å, I 11
- 2θ = 45.09°, 2.011 Å, I 21
- 2θ = 48.01°, 1.895 Å, I 14
- 2θ = 49.70°, 1.834 Å, I 11
- 2θ = 55.05°, 1.668 Å, I 14

Structure:
abc: 6.357 6.357 7.841
angles: 90.01 90.01 120.03
Fractional coordinates of all 9 atoms:
Cs (0.000, 0.000, 0.000)
Cr (0.334, 0.666, 0.500)
Fe (0.667, 0.333, 0.500)
Cl (0.013, 0.634, 0.326)
Cl (0.014, 0.379, 0.674)
Cl (0.366, 0.987, 0.674)
Cl (0.367, 0.381, 0.325)
Cl (0.619, 0.633, 0.675)
Cl (0.621, 0.986, 0.326)

---

SmAl2GaPd: calculated XRD peak list (copper Kα), based on a cell relaxed with GGA-PBE.
Lines closer than 0.1° are merged.

Principal peaks in the range 2θ = 10–80°, by angle:
- 2θ = 23.15°, 3.842 Å, I 25
- 2θ = 32.19°, 2.781 Å, I 47
- 2θ = 32.59°, 2.747 Å, I 25
- 2θ = 34.56°, 2.595 Å, I 100
- 2θ = 42.98°, 2.105 Å, I 21
- 2θ = 44.25°, 2.047 Å, I 20
- 2θ = 46.17°, 1.966 Å, I 17
- 2θ = 46.48°, 1.954 Å, I 15
- 2θ = 55.76°, 1.649 Å, I 19
- 2θ = 63.38°, 1.467 Å, I 13

Structure:
abc: 4.094 4.209 11.116
angles: 90.00 90.00 90.00
Fractional coordinates of all 10 atoms:
Sm (0.000, 0.000, 0.000)
Sm (0.500, 0.500, 0.500)
Al (0.000, 0.000, 0.382)
Al (0.000, 0.500, 0.245)
Al (0.500, 0.000, 0.745)
Al (0.500, 0.500, 0.882)
Ga (0.000, 0.000, 0.607)
Ga (0.500, 0.500, 0.107)
Pd (0.000, 0.500, 0.748)
Pd (0.500, 0.000, 0.248)

---

Pa3Rh5: calculated XRD peak list (copper Kα), based on a cell relaxed with GGA-PBE.
Lines closer than 0.1° are merged.

Principal peaks in the range 2θ = 10–80°, by angle:
- 2θ = 31.96°, 2.801 Å, I 17
- 2θ = 37.23°, 2.415 Å, I 100
- 2θ = 39.26°, 2.295 Å, I 26
- 2θ = 39.59°, 2.276 Å, I 15
- 2θ = 43.39°, 2.085 Å, I 9
- 2θ = 50.22°, 1.817 Å, I 11
- 2θ = 51.49°, 1.775 Å, I 10
- 2θ = 56.98°, 1.616 Å, I 10
- 2θ = 65.54°, 1.424 Å, I 10
- 2θ = 69.84°, 1.347 Å, I 16

Structure:
abc: 7.267 9.105 4.589
angles: 90.00 90.00 90.00
Fractional coordinates of all 16 atoms:
Pa (0.000, 0.000, 0.000)
Pa (0.000, 0.298, 0.500)
Pa (0.000, 0.702, 0.500)
Pa (0.500, 0.202, 0.500)
Pa (0.500, 0.500, 0.000)
Pa (0.500, 0.798, 0.500)
Rh (0.000, 0.500, 0.000)
Rh (0.208, 0.000, 0.500)
Rh (0.250, 0.250, 0.000)
Rh (0.250, 0.750, 0.000)
Rh (0.292, 0.500, 0.500)
Rh (0.500, 0.000, 0.000)
Rh (0.708, 0.500, 0.500)
Rh (0.750, 0.250, 0.000)
Rh (0.750, 0.750, 0.000)
Rh (0.792, 0.000, 0.500)